Theoretical X-ray powder pattern
Compound: PaMn2TlO6
Radiation: λ = 1.5418 Å (Cu Kα)
Structure: a DFT-relaxed cell (GGA+U, Alexandria)
Intensities are scaled so that the largest is 100.

Crystal structure
```
data_PaMn2TlO6
_cell_length_a 5.5246
_cell_length_b 5.6761
_cell_length_c 5.9482
_cell_angle_alpha 61.99
_cell_angle_beta 64.29
_cell_angle_gamma 62.00
_space_group_name_H-M_alt 'P 1'
_space_group_IT_number 1
loop_
_space_group_symop_operation_xyz
'x,y,z'
loop_
_atom_site_label
_atom_site_type_symbol
_atom_site_fract_x
_atom_site_fract_y
_atom_site_fract_z
_atom_site_occupancy
Pa1 Pa 0.0000 0.0000 0.0000 1
Mn1 Mn 0.2963 0.3161 0.0875 1
Mn2 Mn 0.7824 0.7784 0.6402 1
Tl1 Tl 0.5204 0.5147 0.4323 1
O1 O 0.0817 0.4074 0.8391 1
O2 O 0.1644 0.9899 0.2797 1
O3 O 0.4019 0.6704 0.8562 1
O4 O 0.5785 0.1551 0.2864 1
O5 O 0.7200 0.0619 0.8089 1
O6 O 0.9542 0.6023 0.3137 1
```

The 12 most intense peaks (2θ from 5° to 70°), in order of falling intensity:
d/Å  I/Imax  hkl
3.047  100  1 0 -1
2.882  92  1 -1 0
2.987  90  0 1 -1
4.226  90  0 1 1
4.079  88  1 1 0
2.953  86  1 1 2
2.834  84  1 2 1
4.031  83  1 0 1
2.761  78  2 1 1
2.113  40  0 2 2
1.672  36  1 3 0
2.527  35  0 0 2